(1)
The following is a computed powder diffraction line list of Li6AlCrO6. It was derived from a structure optimized by DFT (GGA+U), using Cu Kα (λ = 1.5418 Å).
Neutral-atom scattering factors, no anomalous dispersion.

The 6 most intense peaks (15° ≤ 2θ ≤ 90°), in order of rising 2θ:
d_spacing, intensity
4.866, 67
4.664, 53
4.206, 54
3.367, 48
2.356, 100
1.805, 72

Crystal structure
```
data_Li6AlCrO6
_cell_length_a 5.3850
_cell_length_b 5.3850
_cell_length_c 9.7325
_cell_angle_alpha 90.00
_cell_angle_beta 90.00
_cell_angle_gamma 120.00
_space_group_name_H-M_alt 'P 1'
_space_group_IT_number 1
_space_group_name_Hall 'P 1'
loop_
_atom_site_label
_atom_site_type_symbol
_atom_site_fract_x
_atom_site_fract_y
_atom_site_fract_z
Li1 Li 0.0626 0.3788 0.0770
Li2 Li 0.0626 0.6838 0.4230
Li3 Li 0.3162 0.3788 0.4230
Li4 Li 0.3162 0.9374 0.0770
Li5 Li 0.3788 0.0626 0.5770
Li6 Li 0.3788 0.3162 0.9230
Li7 Li 0.6212 0.6838 0.0770
Li8 Li 0.6212 0.9374 0.4230
Li9 Li 0.6838 0.0626 0.9230
Li10 Li 0.6838 0.6212 0.5770
Li11 Li 0.9374 0.3162 0.5770
Li12 Li 0.9374 0.6212 0.9230
Al1 Al 0.3333 0.6667 0.7500
Al2 Al 0.6667 0.3333 0.2500
Cr1 Cr 0.0000 0.0000 0.2500
Cr2 Cr 0.0000 0.0000 0.7500
O1 O 0.0534 0.3485 0.8655
O2 O 0.0534 0.7050 0.6345
O3 O 0.2950 0.3485 0.6345
O4 O 0.2950 0.9466 0.8655
O5 O 0.3485 0.0534 0.3655
O6 O 0.3485 0.2950 0.1345
O7 O 0.6515 0.7050 0.8655
O8 O 0.6515 0.9466 0.6345
O9 O 0.7050 0.0534 0.1345
O10 O 0.7050 0.6515 0.3655
O11 O 0.9466 0.2950 0.3655
O12 O 0.9466 0.6515 0.1345
```

***

(2)
The following is a computed powder diffraction line list of Li2AlCr2SbO8. It was derived from a structure optimized by DFT (GGA+U), using Cu Kα (λ = 1.5418 Å).
Neutral-atom scattering factors, no anomalous dispersion.

The 6 most intense peaks (15° ≤ 2θ ≤ 90°), in order of rising 2θ:
d_spacing, intensity
4.529, 49
4.509, 100
3.498, 38
2.713, 43
2.526, 25
2.512, 44

Crystal structure
```
data_Li2AlCr2SbO8
_cell_length_a 5.9210
_cell_length_b 5.9210
_cell_length_c 9.6092
_cell_angle_alpha 90.30
_cell_angle_beta 90.30
_cell_angle_gamma 59.57
_space_group_name_H-M_alt 'P 1'
_space_group_IT_number 1
_space_group_name_Hall 'P 1'
loop_
_atom_site_label
_atom_site_type_symbol
_atom_site_fract_x
_atom_site_fract_y
_atom_site_fract_z
Li1 Li 0.0000 0.0000 0.0000
Li2 Li 0.0021 0.0021 0.5085
Li3 Li 0.3369 0.3369 0.0896
Li4 Li 0.6682 0.6682 0.5946
Al1 Al 0.1732 0.6606 0.7791
Al2 Al 0.6606 0.1732 0.7791
Cr1 Cr 0.1726 0.1726 0.7798
Cr2 Cr 0.3416 0.8328 0.2797
Cr3 Cr 0.8323 0.8323 0.2792
Cr4 Cr 0.8328 0.3416 0.2797
Sb1 Sb 0.3372 0.3372 0.5089
Sb2 Sb 0.6678 0.6678 0.0030
O1 O 0.0011 0.0011 0.1852
O2 O 0.0400 0.4901 0.6537
O3 O 0.1673 0.1673 0.4017
O4 O 0.1678 0.6728 0.3995
O5 O 0.3298 0.8292 0.8934
O6 O 0.3437 0.3437 0.8796
O7 O 0.4837 0.4837 0.6547
O8 O 0.4901 0.0400 0.6537
O9 O 0.5174 0.9672 0.1483
O10 O 0.5203 0.5203 0.1489
O11 O 0.6699 0.6699 0.3866
O12 O 0.6728 0.1678 0.3995
O13 O 0.8292 0.3298 0.8934
O14 O 0.8343 0.8343 0.8917
O15 O 0.9672 0.5174 0.1483
O16 O 0.9930 0.9930 0.6972
```

***

(3)
The following is a computed powder diffraction line list of Li2Al2CrSbO8. It was derived from a structure optimized by DFT (GGA+U), using Cu Kα (λ = 1.5418 Å).
Neutral-atom scattering factors, no anomalous dispersion.

The 6 most intense peaks (15° ≤ 2θ ≤ 90°), in order of rising 2θ:
d_spacing, intensity
4.466, 100
4.444, 27
3.471, 30
2.695, 35
2.491, 39
2.480, 17

Crystal structure
```
data_Li2Al2CrSbO8
_cell_length_a 5.8179
_cell_length_b 5.8179
_cell_length_c 9.5549
_cell_angle_alpha 90.22
_cell_angle_beta 90.22
_cell_angle_gamma 60.29
_space_group_name_H-M_alt 'P 1'
_space_group_IT_number 1
_space_group_name_Hall 'P 1'
loop_
_atom_site_label
_atom_site_type_symbol
_atom_site_fract_x
_atom_site_fract_y
_atom_site_fract_z
Li1 Li 0.0000 0.0000 0.0000
Li2 Li 0.0019 0.0019 0.4944
Li3 Li 0.3340 0.3340 0.5819
Li4 Li 0.6702 0.6702 0.0856
Al1 Al 0.1723 0.1723 0.2709
Al2 Al 0.1725 0.6612 0.2711
Al3 Al 0.6612 0.1725 0.2711
Al4 Al 0.8314 0.8314 0.7709
Cr1 Cr 0.3415 0.8319 0.7714
Cr2 Cr 0.8319 0.3415 0.7714
Sb1 Sb 0.3351 0.3351 0.0009
Sb2 Sb 0.6698 0.6698 0.4949
O1 O 0.0015 0.0015 0.1894
O2 O 0.0383 0.4832 0.1474
O3 O 0.1594 0.6713 0.8883
O4 O 0.1643 0.1643 0.8927
O5 O 0.3303 0.8382 0.3832
O6 O 0.3358 0.3358 0.3707
O7 O 0.4832 0.0383 0.1474
O8 O 0.4849 0.4849 0.1466
O9 O 0.5185 0.5185 0.6394
O10 O 0.5242 0.9676 0.6423
O11 O 0.6713 0.1594 0.8883
O12 O 0.6777 0.6777 0.8762
O13 O 0.8382 0.3303 0.3832
O14 O 0.8378 0.8378 0.3820
O15 O 0.9676 0.5242 0.6423
O16 O 0.9919 0.9919 0.6806
```

***

Number 3 is which compound? Li2Al2CrSbO8